Record 1
RbCrClO3: simulated X-ray powder pattern (Cu Ka), based on DFT lattice parameters and positions (GGA+U).
Peak positions follow from Bragg's law for the DFT cell and can differ from measured ones.

Main lines, by intensity (2θ from 10° to 90°):
| (hkl) | 2theta | I/Imax |
| --- | --- | --- |
| 1 2 1 | 27.77 | 100 |
| 1 0 -2 | 23.71 | 99 |
| 2 2 -1 | 33.02 | 99 |
| 1 0 2 | 24.44 | 86 |
| 0 2 1 | 25.47 | 86 |
| 1 2 -3 | 41.49 | 75 |
| 2 0 0 | 21.06 | 64 |
| 3 0 0 | 31.82 | 52 |

Structural model:
Cell: 8.4427 7.7292 8.2317 Å, 90.00 92.16 90.00°
Element x y z (fractional)
Rb 0.1764 0.1375 0.1415
Rb 0.1764 0.3625 0.6415
Rb 0.8236 0.6375 0.3585
Rb 0.8236 0.8625 0.8585
Cr 0.2228 0.6181 0.1353
Cr 0.2228 0.8819 0.6353
Cr 0.7772 0.1181 0.3647
Cr 0.7772 0.3819 0.8647
Cl 0.4425 0.7331 0.6556
Cl 0.4425 0.7669 0.1556
Cl 0.5575 0.2331 0.8444
Cl 0.5575 0.2669 0.3444
O 0.0767 0.7446 0.6147
O 0.0767 0.7554 0.1147
O 0.2029 0.5028 0.2989
O 0.2029 0.9972 0.7989
O 0.2275 0.0099 0.4791
O 0.2275 0.4901 0.9791
O 0.7725 0.5099 0.0209
O 0.7725 0.9901 0.5209
O 0.7971 0.0028 0.2011
O 0.7971 0.4972 0.7011
O 0.9233 0.2446 0.8853
O 0.9233 0.2554 0.3853

Record 2
Cr3Se2ClO8: simulated X-ray powder pattern (Cu Ka), based on DFT lattice parameters and positions (GGA+U).
Peak positions follow from Bragg's law for the DFT cell and can differ from measured ones.

Main lines, by intensity (2θ from 10° to 90°):
| (hkl) | 2theta | I/Imax |
| --- | --- | --- |
| 1 1 0 | 18.14 | 100 |
| 2 1 0 | 27.42 | 35 |
| 1 0 -2 | 18.42 | 26 |
| 1 1 -2 | 23.06 | 24 |
| 3 0 -2 | 34.78 | 19 |
| 1 2 2 | 37.40 | 19 |
| 1 2 0 | 30.21 | 19 |
| 0 2 2 | 33.40 | 15 |

Structural model:
Cell: 7.9254 6.4324 10.2328 Å, 90.00 107.77 90.00°
Element x y z (fractional)
Cr 0.0000 0.0000 0.0000
Cr 0.0000 0.0000 0.5000
Cr 0.0000 0.5000 0.0000
Cr 0.0000 0.5000 0.5000
Cr 0.1935 0.2500 0.2948
Cr 0.8065 0.7500 0.7052
Se 0.3701 0.2500 0.6340
Se 0.3784 0.2500 0.0520
Se 0.6216 0.7500 0.9480
Se 0.6299 0.7500 0.3660
Cl 0.1103 0.7500 0.1922
Cl 0.8897 0.2500 0.8078
O 0.0347 0.2500 0.4053
O 0.0368 0.2500 0.1192
O 0.2309 0.0360 0.6270
O 0.2309 0.4640 0.6270
O 0.2455 0.0369 0.9891
O 0.2455 0.4631 0.9891
O 0.3932 0.2500 0.4734
O 0.3976 0.2500 0.2262
O 0.6024 0.7500 0.7738
O 0.6068 0.7500 0.5266
O 0.7545 0.5369 0.0109
O 0.7545 0.9631 0.0109
O 0.7691 0.5360 0.3730
O 0.7691 0.9640 0.3730
O 0.9632 0.7500 0.8808
O 0.9653 0.7500 0.5947